Starting from a GGA-PBE-relaxed structure, the powder diffractogram of Nb6Ni16Ge7 was computed for Cu Kα.

Principal peaks in the range 2θ from 15° to 90°, most intense first:
2θ (°)	I (rel.)
44.7	100.0
40.9	69.1
38.4	21.7
46.9	14.9
69.5	14.9
83.9	14.6
82.4	12.0
47.6	10.7
62.2	10.5
88.1	9.2

abc: 8.1116 8.1116 8.1116
angles: 60.00 60.00 60.00
Element x y z (fractional)
Nb1 0.2021 0.2021 0.7979
Nb2 0.2021 0.7979 0.2021
Nb3 0.2021 0.7979 0.7979
Nb4 0.7979 0.2021 0.2021
Nb5 0.7979 0.2021 0.7979
Nb6 0.7979 0.7979 0.2021
Ni1 0.1485 0.6172 0.6172
Ni2 0.1672 0.1672 0.1672
Ni3 0.1672 0.1672 0.4985
Ni4 0.1672 0.4985 0.1672
Ni5 0.3828 0.3828 0.3828
Ni6 0.3828 0.3828 0.8515
Ni7 0.3828 0.8515 0.3828
Ni8 0.4985 0.1672 0.1672
Ni9 0.5015 0.8328 0.8328
Ni10 0.6172 0.1485 0.6172
Ni11 0.6172 0.6172 0.1485
Ni12 0.6172 0.6172 0.6172
Ni13 0.8328 0.5015 0.8328
Ni14 0.8328 0.8328 0.5015
Ni15 0.8328 0.8328 0.8328
Ni16 0.8515 0.3828 0.3828
Ge1 0.0000 0.0000 0.5000
Ge2 0.0000 0.5000 0.0000
Ge3 0.0000 0.5000 0.5000
Ge4 0.5000 0.0000 0.0000
Ge5 0.5000 0.0000 0.5000
Ge6 0.5000 0.5000 0.0000
Ge7 0.5000 0.5000 0.5000

Starting from a GGA-PBE-relaxed structure, the powder diffractogram of Dy4HgSe2 was computed for Cu Kα.

Principal peaks in the range 2θ from 15° to 90°, most intense first:
2θ (°)	I (rel.)
30.6	100.0
28.9	70.6
29.9	55.4
32.6	47.8
39.7	45.6
44.5	29.0
54.0	25.0
45.4	21.8
74.0	19.4
45.7	18.7

abc: 6.8869 6.8869 13.9858
angles: 90.00 90.00 145.62
Element x y z (fractional)
Dy1 0.0000 0.0000 0.0000
Dy2 0.0000 0.0000 0.5000
Dy3 0.2735 0.7265 0.6236
Dy4 0.2735 0.7265 0.8764
Dy5 0.4372 0.5628 0.2500
Dy6 0.5628 0.4372 0.7500
Dy7 0.7265 0.2735 0.1236
Dy8 0.7265 0.2735 0.3764
Hg1 0.1098 0.8902 0.2500
Hg2 0.8902 0.1098 0.7500
Se1 0.3628 0.6372 0.0596
Se2 0.3628 0.6372 0.4404
Se3 0.6372 0.3628 0.5596
Se4 0.6372 0.3628 0.9404

Starting from a GGA-PBE-relaxed structure, the powder diffractogram of BaCuO3 was computed for Cu Kα.

Principal peaks in the range 2θ from 15° to 90°, most intense first:
2θ (°)	I (rel.)
31.2	100.0
24.4	62.2
25.2	55.0
31.1	50.2
25.8	42.8
39.4	36.1
41.4	33.1
40.6	29.5
41.0	27.5
51.7	24.5

abc: 5.0685 5.7309 5.7310
angles: 119.58 91.99 91.87
Element x y z (fractional)
Ba1 0.2499 0.1646 0.3353
Ba2 0.7501 0.8354 0.6647
Cu1 0.0000 0.5000 0.0000
Cu2 0.5000 0.5000 0.0000
O1 0.1953 0.1896 0.8495
O2 0.2500 0.6436 0.8562
O3 0.3052 0.6505 0.3105
O4 0.6948 0.3495 0.6895
O5 0.7500 0.3564 0.1438
O6 0.8047 0.8104 0.1505

Starting from a GGA-PBE-relaxed structure, the powder diffractogram of Pm2HfSn3 was computed for Cu Kα.

Principal peaks in the range 2θ from 15° to 90°, most intense first:
2θ (°)	I (rel.)
30.5	100.0
37.9	74.0
30.0	61.1
37.0	27.9
48.3	24.0
48.2	20.8
63.3	16.4
50.4	12.3
49.5	10.0
34.7	9.7

abc: 7.9464 7.9464 7.6754
angles: 97.53 97.53 133.17
Element x y z (fractional)
Pm1 0.0261 0.9739 0.7500
Pm2 0.3232 0.6768 0.7500
Pm3 0.6768 0.3232 0.2500
Pm4 0.9739 0.0261 0.2500
Hf1 0.3508 0.6492 0.2500
Hf2 0.6492 0.3508 0.7500
Sn1 0.1309 0.7845 0.0380
Sn2 0.2155 0.8691 0.4620
Sn3 0.5000 0.5000 0.0000
Sn4 0.5000 0.5000 0.5000
Sn5 0.7845 0.1309 0.5380
Sn6 0.8691 0.2155 0.9620

Starting from a GGA-PBE-relaxed structure, the powder diffractogram of Dy3Ho2Zn2 was computed for Cu Kα.

Principal peaks in the range 2θ from 15° to 90°, most intense first:
2θ (°)	I (rel.)
34.8	100.0
36.2	96.6
32.7	80.3
26.0	34.3
63.9	34.2
58.8	33.7
29.3	33.6
36.8	26.3
29.4	25.1
45.3	24.5

abc: 3.5307 30.3697 3.5122
angles: 90.00 90.00 90.00
Element x y z (fractional)
Dy1 0.0000 0.0000 0.0000
Dy2 0.0000 0.1185 0.0000
Dy3 0.0000 0.8815 0.0000
Dy4 0.5000 0.3815 0.0000
Dy5 0.5000 0.5000 0.0000
Dy6 0.5000 0.6185 0.0000
Ho1 0.0000 0.2989 0.5000
Ho2 0.0000 0.7011 0.5000
Ho3 0.5000 0.2011 0.5000
Ho4 0.5000 0.7989 0.5000
Zn1 0.0000 0.4417 0.5000
Zn2 0.0000 0.5583 0.5000
Zn3 0.5000 0.0583 0.5000
Zn4 0.5000 0.9417 0.5000

Starting from a GGA-PBE-relaxed structure, the powder diffractogram of ErTh2As3 was computed for Cu Kα.

Principal peaks in the range 2θ from 15° to 90°, most intense first:
2θ (°)	I (rel.)
30.1	100.0
43.1	75.8
71.0	29.0
26.0	28.6
53.4	20.3
51.0	19.8
78.9	15.2
62.6	12.6
79.0	10.8
26.0	9.7

abc: 7.2753 7.2753 7.2683
angles: 99.61 99.61 119.94
Element x y z (fractional)
Er1 0.1673 0.8327 0.0000
Er2 0.8327 0.1673 0.0000
Th1 0.0000 0.0000 0.5000
Th2 0.3347 0.6653 0.5000
Th3 0.5000 0.5000 0.0000
Th4 0.6653 0.3347 0.5000
As1 0.0793 0.4187 0.7569
As2 0.2405 0.2405 0.2412
As3 0.4187 0.0793 0.7569
As4 0.5813 0.9207 0.2431
As5 0.7595 0.7595 0.7588
As6 0.9207 0.5813 0.2431

Starting from a GGA-PBE-relaxed structure, the powder diffractogram of Zr2InAu2 was computed for Cu Kα.

Principal peaks in the range 2θ from 15° to 90°, most intense first:
2θ (°)	I (rel.)
36.5	100.0
37.3	56.8
26.1	22.0
45.4	18.4
34.4	16.7
51.3	16.4
25.0	16.4
16.4	16.3
39.7	16.0
42.7	15.4

abc: 7.6323 7.6323 7.1263
angles: 90.00 90.00 90.00
Element x y z (fractional)
Zr1 0.1461 0.1461 0.0000
Zr2 0.1969 0.1969 0.5000
Zr3 0.3031 0.6969 0.0000
Zr4 0.3539 0.6461 0.5000
Zr5 0.6461 0.3539 0.5000
Zr6 0.6969 0.3031 0.0000
Zr7 0.8031 0.8031 0.5000
Zr8 0.8539 0.8539 0.0000
In1 0.0000 0.5000 0.2500
In2 0.0000 0.5000 0.7500
In3 0.5000 0.0000 0.2500
In4 0.5000 0.0000 0.7500
Au1 0.1294 0.8706 0.2958
Au2 0.1294 0.8706 0.7042
Au3 0.3706 0.3706 0.2042
Au4 0.3706 0.3706 0.7958
Au5 0.6294 0.6294 0.2042
Au6 0.6294 0.6294 0.7958
Au7 0.8706 0.1294 0.2958
Au8 0.8706 0.1294 0.7042

Starting from a GGA-PBE-relaxed structure, the powder diffractogram of Li3B4C4 was computed for Cu Kα.

Principal peaks in the range 2θ from 15° to 90°, most intense first:
2θ (°)	I (rel.)
24.6	100.0
45.9	52.0
50.5	17.1
68.9	11.5
74.4	9.3
38.1	8.3
69.0	5.6
86.9	5.2
40.2	1.9
65.0	1.4

abc: 7.7296 7.7296 4.7210
angles: 90.07 90.07 41.25
Element x y z (fractional)
Li1 0.1250 0.3741 0.2513
Li2 0.1480 0.8520 0.7500
Li3 0.3741 0.1250 0.7513
Li4 0.6259 0.8750 0.2487
Li5 0.8520 0.1480 0.2500
Li6 0.8750 0.6259 0.7487
B1 0.9999 0.2523 0.5857
B2 0.0001 0.7477 0.4143
B3 0.2501 0.4963 0.9164
B4 0.2523 0.9999 0.0857
B5 0.4963 0.2501 0.4164
B6 0.5037 0.7499 0.5836
B7 0.7477 0.0001 0.9143
B8 0.7499 0.5037 0.0836
C1 0.0020 0.2513 0.9188
C2 0.2443 0.4957 0.5848
C3 0.2513 0.0020 0.4188
C4 0.4957 0.2443 0.0848
C5 0.5043 0.7557 0.9152
C6 0.7487 0.9980 0.5812
C7 0.7557 0.5043 0.4152
C8 0.9980 0.7487 0.0812

Starting from a GGA-PBE-relaxed structure, the powder diffractogram of ErThCd4 was computed for Cu Kα.

Principal peaks in the range 2θ from 15° to 90°, most intense first:
2θ (°)	I (rel.)
31.1	100.0
32.9	58.9
42.0	38.4
41.6	37.3
54.3	28.0
25.7	24.3
60.6	24.2
60.9	21.2
69.9	19.3
79.1	10.9

abc: 4.3060 4.3060 17.5697
angles: 90.00 90.00 90.00
Element x y z (fractional)
Er1 0.0000 0.0000 0.0000
Er2 0.5000 0.5000 0.5000
Th1 0.0000 0.5000 0.7500
Th2 0.5000 0.0000 0.2500
Cd1 0.0000 0.0000 0.4228
Cd2 0.0000 0.0000 0.5772
Cd3 0.0000 0.5000 0.1702
Cd4 0.0000 0.5000 0.3298
Cd5 0.5000 0.0000 0.6702
Cd6 0.5000 0.0000 0.8298
Cd7 0.5000 0.5000 0.0772
Cd8 0.5000 0.5000 0.9228